# 1
MgTiWS4: theoretical X-ray diffraction stick pattern (Cu Kα X-rays), based on a crystal structure in Alexandria, relaxed with PBE.
Peak positions follow from Bragg's law for the DFT cell and can differ from measured ones.

Largest 10 diffraction maxima, low angle first, 2θ from 10° to 90°:
d_spacing	2θ (°)	intensity
6.009	14.7	100
5.810	15.3	20
5.153	17.2	21
3.698	24.1	14
3.117	28.6	31
3.035	29.4	32
2.576	34.8	21
2.549	35.2	33
1.980	45.8	16
1.812	50.4	27

Cell and atoms:
```
14
Lattice="-3.517 3.698 5.153 3.517 -3.698 5.153 3.517 3.698 -5.153" Properties=species:S:1:pos:R:3 pbc="T T T"
Mg 0.000 0.000 0.000
Mg 0.000 3.698 2.483
Ti 3.517 1.850 1.264
Ti 0.000 1.849 6.417
W 1.384 3.698 -1.728
W 2.133 0.000 3.424
S 3.517 -1.930 3.609
S 2.023 0.000 1.042
S 5.010 0.000 1.042
S 3.517 2.147 -1.464
S 0.000 1.551 3.689
S 1.823 3.698 0.823
S 1.693 0.000 5.976
S 3.517 1.930 3.609
```

# 2
Mg2TiW3S8: theoretical X-ray diffraction stick pattern (Cu Kα X-rays), based on a crystal structure in Alexandria, relaxed with PBE.
Peak positions follow from Bragg's law for the DFT cell and can differ from measured ones.

Largest 10 diffraction maxima, low angle first, 2θ from 10° to 90°:
d_spacing	2θ (°)	intensity
5.996	14.8	100
5.914	15.0	50
5.805	15.3	30
5.129	17.3	19
3.112	28.7	28
3.079	29.0	45
2.564	35.0	56
2.544	35.3	27
1.969	46.1	18
1.828	49.9	26

Cell and atoms:
```
14
Lattice="6.145 -3.634 0.000 6.145 3.634 0.000 -4.064 0.000 5.996" Properties=species:S:1:pos:R:3 pbc="T T T"
Mg 0.000 0.000 0.000
Mg 0.021 0.000 4.405
Ti 4.115 0.000 5.136
W 3.200 1.562 2.321
W 5.671 0.000 2.411
W 3.200 -1.562 2.321
S 4.011 0.000 0.749
S 4.996 1.758 3.867
S 2.187 0.000 3.758
S 7.157 1.628 0.981
S 8.136 0.000 3.498
S 7.157 -1.628 0.981
S 4.996 -1.758 3.867
S 10.038 0.000 0.985
```

# 3
Y3Mg2TiS8: theoretical X-ray diffraction stick pattern (Cu Kα X-rays), based on a crystal structure in Alexandria, relaxed with PBE.
Peak positions follow from Bragg's law for the DFT cell and can differ from measured ones.

Largest 10 diffraction maxima, low angle first, 2θ from 10° to 90°:
d_spacing	2θ (°)	intensity
6.372	13.9	48
6.253	14.2	27
3.333	26.7	43
3.316	26.9	32
3.282	27.2	18
2.746	32.6	100
2.115	42.8	18
1.956	46.4	48
1.928	47.1	46
1.593	57.9	16

Cell and atoms:
```
14
Lattice="3.911 2.258 6.253 -3.911 2.258 6.253 0.000 -4.516 6.253" Properties=species:S:1:pos:R:3 pbc="T T T"
Y -1.956 -1.129 6.253
Y -1.956 1.129 12.507
Y 0.000 2.258 6.253
Mg 0.000 0.000 2.339
Mg 0.000 0.000 16.422
Ti 0.000 0.000 9.380
S 0.000 0.000 4.773
S 0.000 -2.098 7.914
S -1.817 1.049 7.914
S -1.817 -1.049 10.846
S 1.817 1.049 7.914
S 1.817 -1.049 10.846
S 0.000 2.098 10.846
S 0.000 0.000 13.987
```

# 4
MgTlS2: theoretical X-ray diffraction stick pattern (Cu Kα X-rays), based on a crystal structure in Alexandria, relaxed with PBE.
Peak positions follow from Bragg's law for the DFT cell and can differ from measured ones.

Largest 10 diffraction maxima, low angle first, 2θ from 10° to 90°:
d_spacing	2θ (°)	intensity
7.261	12.2	81
3.630	24.5	33
3.592	24.8	55
3.454	25.8	100
3.027	29.5	32
2.794	32.0	36
2.366	38.0	26
2.181	41.4	39
2.102	43.0	38
1.819	50.1	29

Cell and atoms:
```
12
Lattice="4.205 0.000 0.000 -2.102 3.642 0.000 0.000 0.000 21.783" Properties=species:S:1:pos:R:3 pbc="T T T"
Mg 0.000 0.000 0.000
Mg 0.000 2.428 14.522
Mg 2.102 1.214 7.261
Tl 0.000 0.000 10.975
Tl 0.000 2.428 3.714
Tl 2.102 1.214 18.236
S 0.000 0.000 2.464
S 0.000 0.000 13.848
S 0.000 2.428 6.587
S 0.000 2.428 16.986
S 2.102 1.214 9.725
S 2.102 1.214 21.109
```

# 5
Tm5MgS6: theoretical X-ray diffraction stick pattern (Cu Kα X-rays), based on a crystal structure in Alexandria, relaxed with PBE.
Peak positions follow from Bragg's law for the DFT cell and can differ from measured ones.

Largest 10 diffraction maxima, low angle first, 2θ from 10° to 90°:
d_spacing	2θ (°)	intensity
3.128	28.5	40
3.112	28.7	37
2.702	33.2	100
1.920	47.4	12
1.910	47.6	47
1.905	47.7	12
1.634	56.3	12
1.627	56.6	22
1.564	59.1	13
1.556	59.4	12

Cell and atoms:
```
12
Lattice="3.304 -5.759 0.000 3.304 5.759 0.000 -2.208 0.000 6.221" Properties=species:S:1:pos:R:3 pbc="T T T"
Tm 0.000 0.000 0.000
Tm 2.200 3.831 3.110
Tm 3.304 1.954 0.000
Tm 3.304 -1.954 0.000
Tm 2.200 -3.831 3.110
Mg 2.200 0.000 3.110
S 1.141 1.849 1.596
S 0.087 0.000 4.620
S 1.141 -1.849 1.596
S 3.260 1.849 4.624
S 4.314 0.000 1.600
S 3.260 -1.849 4.624
```

# 6
MgU3S6: theoretical X-ray diffraction stick pattern (Cu Kα X-rays), based on a crystal structure in Alexandria, relaxed with PBE.
Peak positions follow from Bragg's law for the DFT cell and can differ from measured ones.

Largest 10 diffraction maxima, low angle first, 2θ from 10° to 90°:
d_spacing	2θ (°)	intensity
4.999	17.7	59
3.833	23.2	37
3.417	26.1	100
3.382	26.4	28
3.331	26.8	27
3.251	27.4	40
2.928	30.5	29
2.168	41.7	26
2.030	44.6	35
1.991	45.6	32

Cell and atoms:
```
20
Lattice="10.150 0.000 0.000 0.000 3.981 0.000 -3.068 0.000 11.498" Properties=species:S:1:pos:R:3 pbc="T T T"
Mg -0.058 0.995 1.674
Mg 7.140 2.986 9.825
U -0.315 0.995 6.938
U 3.246 2.986 0.086
U 3.070 0.995 3.859
U 4.012 2.986 7.640
U 3.836 0.995 11.412
U 7.397 2.986 4.560
S -0.168 2.986 5.150
S -1.701 0.995 11.135
S -0.685 2.986 8.733
S 1.685 2.986 2.475
S 2.431 0.995 6.644
S 4.572 0.995 1.479
S 2.509 2.986 10.019
S 4.651 2.986 4.854
S 5.397 0.995 9.024
S 7.767 0.995 2.765
S 8.783 2.986 0.363
S 7.249 0.995 6.348
```

# 7
MgV2S5: theoretical X-ray diffraction stick pattern (Cu Kα X-rays), based on a crystal structure in Alexandria, relaxed with PBE.
Peak positions follow from Bragg's law for the DFT cell and can differ from measured ones.

Largest 10 diffraction maxima, low angle first, 2θ from 10° to 90°:
d_spacing	2θ (°)	intensity
6.344	14.0	97
4.609	19.3	78
3.534	25.2	61
3.173	28.1	47
3.087	28.9	58
2.471	36.4	58
2.113	42.8	100
1.832	49.8	45
1.788	51.1	33
1.695	54.1	27

Cell and atoms:
```
16
Lattice="3.664 0.000 0.000 0.000 13.414 0.000 0.000 0.000 6.344" Properties=species:S:1:pos:R:3 pbc="T T T"
Mg 0.916 3.354 0.366
Mg 2.748 10.061 5.978
V 0.916 7.842 3.275
V 0.916 12.280 3.275
V 2.748 1.135 3.069
V 2.748 5.572 3.069
S 0.916 0.658 1.792
S 0.916 6.049 1.792
S 0.916 8.972 1.282
S 0.916 10.061 4.281
S 0.916 11.150 1.282
S 2.748 2.265 5.062
S 2.748 3.354 2.064
S 2.748 4.442 5.062
S 2.748 7.365 4.552
S 2.748 12.756 4.552
```

# 8
MgVS3: theoretical X-ray diffraction stick pattern (Cu Kα X-rays), based on a crystal structure in Alexandria, relaxed with PBE.
Peak positions follow from Bragg's law for the DFT cell and can differ from measured ones.

Largest 10 diffraction maxima, low angle first, 2θ from 10° to 90°:
d_spacing	2θ (°)	intensity
5.675	15.6	55
5.416	16.4	100
3.439	25.9	82
3.091	28.9	51
2.811	31.8	76
2.313	38.9	42
2.225	40.5	37
2.058	44.0	80
1.745	52.4	38
1.738	52.7	43

Cell and atoms:
```
20
Lattice="6.187 -3.331 0.000 6.187 3.331 0.000 -5.782 0.000 10.472" Properties=species:S:1:pos:R:3 pbc="T T T"
Mg 0.000 0.000 0.000
Mg -2.885 0.000 5.233
Mg 9.544 0.000 1.850
Mg 6.660 0.000 7.093
V 2.347 0.000 3.952
V -0.536 0.000 9.187
V 4.949 0.000 1.968
V 2.065 0.000 7.212
S 4.351 1.563 0.289
S 1.467 1.564 5.534
S 1.181 0.000 2.215
S -1.685 0.000 7.438
S 4.085 1.563 3.559
S 1.203 1.564 8.804
S 4.351 -1.563 0.289
S 1.467 -1.564 5.534
S 7.040 0.000 2.018
S 4.157 0.000 7.265
S 4.085 -1.563 3.559
S 1.203 -1.564 8.804
```

# 9
Mg2VW3S8: theoretical X-ray diffraction stick pattern (Cu Kα X-rays), based on a crystal structure in Alexandria, relaxed with PBE.
Peak positions follow from Bragg's law for the DFT cell and can differ from measured ones.

Largest 10 diffraction maxima, low angle first, 2θ from 10° to 90°:
d_spacing	2θ (°)	intensity
6.305	14.0	100
5.675	15.6	55
5.036	17.6	23
2.939	30.4	34
2.518	35.7	67
2.233	40.4	16
2.000	45.3	15
1.892	48.1	25
1.851	49.2	23
1.679	54.7	15

Cell and atoms:
```
14
Lattice="3.435 1.983 6.305 -3.435 1.983 6.305 0.000 -3.966 6.305" Properties=species:S:1:pos:R:3 pbc="T T T"
Mg 0.000 0.000 0.000
Mg 0.000 0.000 3.228
V 0.000 0.000 12.584
W -1.367 -0.789 9.098
W 1.367 -0.789 9.098
W 0.000 1.579 9.098
S 0.000 0.000 7.322
S -1.713 -0.989 14.092
S 0.000 -1.822 10.806
S -1.578 0.911 10.806
S 0.000 0.000 16.516
S 1.578 0.911 10.806
S 1.713 -0.989 14.092
S 0.000 1.978 14.092
```

# 10
Y3Mg2VS8: theoretical X-ray diffraction stick pattern (Cu Kα X-rays), based on a crystal structure in Alexandria, relaxed with PBE.
Peak positions follow from Bragg's law for the DFT cell and can differ from measured ones.

Largest 10 diffraction maxima, low angle first, 2θ from 10° to 90°:
d_spacing	2θ (°)	intensity
6.352	13.9	51
6.243	14.2	25
3.322	26.8	42
3.307	27.0	33
3.276	27.2	19
2.738	32.7	100
2.109	42.9	19
1.949	46.6	48
1.924	47.2	46
1.588	58.1	16

Cell and atoms:
```
14
Lattice="3.898 2.251 6.243 -3.898 2.251 6.243 0.000 -4.501 6.243" Properties=species:S:1:pos:R:3 pbc="T T T"
Y -1.949 -1.125 6.243
Y -1.949 1.125 12.486
Y 0.000 2.251 6.243
Mg 0.000 0.000 2.339
Mg 0.000 0.000 16.391
V 0.000 0.000 9.365
S 0.000 0.000 4.764
S 0.000 -2.075 7.916
S -1.797 1.038 7.916
S -1.797 -1.038 10.814
S 1.797 1.038 7.916
S 1.797 -1.038 10.814
S 0.000 2.075 10.814
S 0.000 0.000 13.966
```

# 11
MgW2S4: theoretical X-ray diffraction stick pattern (Cu Kα X-rays), based on a crystal structure in Alexandria, relaxed with PBE.
Peak positions follow from Bragg's law for the DFT cell and can differ from measured ones.

Largest 10 diffraction maxima, low angle first, 2θ from 10° to 90°:
d_spacing	2θ (°)	intensity
5.845	15.2	100
5.596	15.8	99
3.196	27.9	24
3.073	29.1	29
2.923	30.6	28
2.648	33.9	71
2.192	41.2	29
2.050	44.2	36
1.948	46.6	27
1.698	54.0	28

Cell and atoms:
```
14
Lattice="-3.612 3.893 4.424 3.612 -3.893 4.424 3.612 3.893 -4.424" Properties=species:S:1:pos:R:3 pbc="T T T"
Mg 0.000 0.000 0.000
Mg 0.000 3.893 3.633
W 2.072 3.893 -0.640
W 1.540 0.000 3.783
W 3.612 2.333 1.210
W 0.000 1.560 5.634
S 2.095 0.000 1.245
S 5.129 0.000 1.245
S 3.612 2.244 -1.233
S 3.612 -1.561 3.642
S 0.000 1.649 3.191
S 3.612 1.561 3.642
S 1.875 3.893 1.736
S 1.737 0.000 6.160
```

# 12
YMg2W3S8: theoretical X-ray diffraction stick pattern (Cu Kα X-rays), based on a crystal structure in Alexandria, relaxed with PBE.
Peak positions follow from Bragg's law for the DFT cell and can differ from measured ones.

Largest 10 diffraction maxima, low angle first, 2θ from 10° to 90°:
d_spacing	2θ (°)	intensity
6.092	14.5	100
3.182	28.0	78
3.047	29.3	26
2.639	34.0	66
2.421	37.1	18
2.031	44.6	37
1.866	48.8	57
1.784	51.2	24
1.374	68.3	18
1.180	81.6	19

Cell and atoms:
```
14
Lattice="3.732 2.155 6.090 -3.732 2.155 6.090 0.000 -4.310 6.090" Properties=species:S:1:pos:R:3 pbc="T T T"
Y 0.000 0.000 0.000
Mg 0.000 0.000 6.848
Mg 0.000 0.000 11.422
W -3.732 0.000 9.135
W -1.866 1.077 3.045
W 1.866 1.077 3.045
S -1.941 -1.120 10.444
S 0.000 0.000 4.353
S 0.000 -2.241 7.826
S -1.941 1.120 7.826
S 1.941 -1.120 10.444
S 0.000 2.241 10.444
S 0.000 0.000 13.917
S 1.941 1.120 7.826
```